Record 1
Starting from a GGA-PBE-relaxed structure, the XRD peak list of PmDy8Sc3 was calculated for CuKα.

Structure:
```
data_PmDy8Sc3
_cell_length_a 17.761
_cell_length_b 4.909
_cell_length_c 9.860
_cell_angle_alpha 90.00
_cell_angle_beta 123.67
_cell_angle_gamma 90.00
_space_group_name_H-M_alt 'C 1 m 1'
_space_group_IT_number 8
loop_
_space_group_symop_operation_xyz
'x,y,z'
'x,-y,z'
'x+1/2,y+1/2,z'
'x+1/2,-y+1/2,z'
loop_
_atom_site_label
_atom_site_fract_x
_atom_site_fract_y
_atom_site_fract_z
Pm1 0.000 0.000 0.000
Dy1 0.001 0.500 0.745
Dy2 0.165 0.000 0.413
Dy3 0.166 0.500 0.665
Dy4 0.169 0.500 0.165
Dy5 0.332 0.000 0.835
Dy6 0.333 0.500 0.085
Dy7 0.333 0.500 0.578
Dy8 0.497 0.500 0.493
Sc1 0.167 0.000 0.916
Sc2 0.333 0.000 0.326
Sc3 0.499 0.000 0.251
```

Principal peaks in the range 2θ from 15° to 90°, by angle:
d/Å  Position (°2θ)  I (rel.)  index
2.842  31.5  100.0  1 1 2
2.464  36.5  33.6  6 0 0
2.454  36.6  16.7  0 2 0
1.739  52.6  23.4  6 2 0
1.486  62.5  27.6  7 1 2
1.481  62.7  13.8  1 3 2

***

Record 2
Starting from a GGA-PBE-relaxed structure, the XRD peak list of Ni5RhSe12 was calculated for CuKα.

Structure:
```
data_Ni5RhSe12
_cell_length_a 6.291
_cell_length_b 10.818
_cell_length_c 10.417
_cell_angle_alpha 90.00
_cell_angle_beta 90.08
_cell_angle_gamma 90.00
_space_group_name_H-M_alt 'C 1 2/m 1'
_space_group_IT_number 12
loop_
_space_group_symop_operation_xyz
'x,y,z'
'-x,-y,-z'
'-x,y,-z'
'x,-y,z'
'x+1/2,y+1/2,z'
'-x+1/2,-y+1/2,-z'
'-x+1/2,y+1/2,-z'
'x+1/2,-y+1/2,z'
loop_
_atom_site_label
_atom_site_fract_x
_atom_site_fract_y
_atom_site_fract_z
Ni1 0.000 0.000 0.000
Ni2 0.000 0.167 0.500
Ni3 0.000 0.333 0.000
Rh1 0.000 0.500 0.500
Se1 0.157 0.000 0.381
Se2 0.170 0.166 0.115
Se3 0.171 0.500 0.116
Se4 0.176 0.328 0.382
```

Principal peaks in the range 2θ from 15° to 90°, by angle:
d/Å  Position (°2θ)  I (rel.)  index
5.208  17.0  54.5  0 0 2
3.011  29.7  29.1  2 0 1
2.682  33.4  100.0  1 3 -2
2.324  38.7  47.5  1 3 3
2.006  45.2  26.7  2 0 -4
1.786  51.1  53.6  3 3 -1

***

Record 3
Starting from a GGA-PBE-relaxed structure, the XRD peak list of La7Pm2Nd3 was calculated for CuKα.

Structure:
```
data_La7Pm2Nd3
_cell_length_a 6.069
_cell_length_b 3.663
_cell_length_c 19.599
_cell_angle_alpha 90.00
_cell_angle_beta 93.33
_cell_angle_gamma 90.00
_space_group_name_H-M_alt 'P 1 2/m 1'
_space_group_IT_number 10
loop_
_space_group_symop_operation_xyz
'x,y,z'
'-x,-y,-z'
'-x,y,-z'
'x,-y,z'
loop_
_atom_site_label
_atom_site_fract_x
_atom_site_fract_y
_atom_site_fract_z
La1 0.000 0.000 0.000
La2 0.180 0.500 0.181
La3 0.256 0.500 0.534
La4 0.323 0.000 0.854
Pm1 0.291 0.500 0.703
Nd1 0.219 0.000 0.365
Nd2 0.500 0.500 0.000
```

Principal peaks in the range 2θ from 15° to 90°, by angle:
d/Å  Position (°2θ)  I (rel.)  index
3.261  27.3  34.2  0 0 6
3.023  29.5  68.1  2 0 -1
2.959  30.2  100.0  1 1 2
2.943  30.4  46.1  1 0 -6
2.805  31.9  34.4  1 0 6
2.676  33.5  38.0  1 1 -4

***

Repeat the second record exactly.
Starting from a GGA-PBE-relaxed structure, the XRD peak list of Ni5RhSe12 was calculated for CuKα.

Structure:
```
data_Ni5RhSe12
_cell_length_a 6.291
_cell_length_b 10.818
_cell_length_c 10.417
_cell_angle_alpha 90.00
_cell_angle_beta 90.08
_cell_angle_gamma 90.00
_space_group_name_H-M_alt 'C 1 2/m 1'
_space_group_IT_number 12
loop_
_space_group_symop_operation_xyz
'x,y,z'
'-x,-y,-z'
'-x,y,-z'
'x,-y,z'
'x+1/2,y+1/2,z'
'-x+1/2,-y+1/2,-z'
'-x+1/2,y+1/2,-z'
'x+1/2,-y+1/2,z'
loop_
_atom_site_label
_atom_site_fract_x
_atom_site_fract_y
_atom_site_fract_z
Ni1 0.000 0.000 0.000
Ni2 0.000 0.167 0.500
Ni3 0.000 0.333 0.000
Rh1 0.000 0.500 0.500
Se1 0.157 0.000 0.381
Se2 0.170 0.166 0.115
Se3 0.171 0.500 0.116
Se4 0.176 0.328 0.382
```

Principal peaks in the range 2θ from 15° to 90°, by angle:
d/Å  Position (°2θ)  I (rel.)  index
5.208  17.0  54.5  0 0 2
3.011  29.7  29.1  2 0 1
2.682  33.4  100.0  1 3 -2
2.324  38.7  47.5  1 3 3
2.006  45.2  26.7  2 0 -4
1.786  51.1  53.6  3 3 -1